No. 1
KAgHg: theoretical powder diffraction line list (Cu Kα, 1.54184 Å), based on the GGA-PBE geometry in Alexandria.
Kinematic intensities with the Lorentz-polarization factor, no thermal factor.

Most intense lines, 10° ≤ 2θ ≤ 80°, by angle:
10.50°, I 57
19.73°, I 63
29.05°, I 16
32.77°, I 46
34.51°, I 100
38.56°, I 44
43.68°, I 18
51.48°, I 26
52.68°, I 16
67.17°, I 44

Structure:
```
data_KAgHg
_chemical_formula_sum 'K4 Ag4 Hg4'
_space_group_name_H-M_alt 'I 4/m m m'
_space_group_IT_number 139
_space_group_name_Hall '-I 4 2'
_cell_length_a 4.670
_cell_length_b 4.670
_cell_length_c 16.849
_cell_angle_alpha 90.00
_cell_angle_beta 90.00
_cell_angle_gamma 90.00
loop_
_atom_site_label
_atom_site_type_symbol
_atom_site_fract_x
_atom_site_fract_y
_atom_site_fract_z
K1 K 0.000 0.000 0.167
Ag1 Ag 0.000 0.500 0.000
Hg1 Hg 0.000 0.000 0.387
```

***

No. 2
KAgHg6: theoretical powder diffraction line list (Cu Kα, 1.54184 Å), based on the GGA-PBE geometry in Alexandria.
Kinematic intensities with the Lorentz-polarization factor, no thermal factor.

Most intense lines, 10° ≤ 2θ ≤ 80°, by angle:
20.33°, I 9
30.56°, I 22
33.37°, I 69
33.53°, I 100
45.97°, I 22
48.03°, I 25
59.84°, I 26
59.95°, I 19
63.31°, I 13
70.47°, I 12

Structure:
```
data_KAgHg6
_chemical_formula_sum 'K3 Ag3 Hg18'
_space_group_name_H-M_alt 'R -3 m'
_space_group_IT_number 166
_space_group_name_Hall '-R 3 2"'
_cell_length_a 5.3452
_cell_length_b 5.3452
_cell_length_c 26.3740
_cell_angle_alpha 90.00
_cell_angle_beta 90.00
_cell_angle_gamma 120.00
loop_
_atom_site_label
_atom_site_type_symbol
_atom_site_fract_x
_atom_site_fract_y
_atom_site_fract_z
K1 K 0.0000 0.0000 0.0000
Ag1 Ag 0.0000 0.0000 0.5000
Hg1 Hg 0.0000 0.0000 0.1374
Hg2 Hg 0.0000 0.0000 0.2583
Hg3 Hg 0.0000 0.0000 0.3914
```

***

No. 3
K6AgHg2O: theoretical powder diffraction line list (Cu Kα, 1.54184 Å), based on the GGA-PBE geometry in Alexandria.
Kinematic intensities with the Lorentz-polarization factor, no thermal factor.

Most intense lines, 10° ≤ 2θ ≤ 80°, by angle:
14.92°, I 15
21.16°, I 100
26.00°, I 50
30.11°, I 59
37.09°, I 46
43.10°, I 40
48.48°, I 25
51.01°, I 16
53.46°, I 13
58.12°, I 22

Structure:
```
data_K6AgHg2O
_chemical_formula_sum 'K12 Ag2 Hg4 O2'
_space_group_name_H-M_alt 'C 1 m 1'
_space_group_IT_number 8
_cell_length_a 11.866
_cell_length_b 11.874
_cell_length_c 8.387
_cell_angle_alpha 90.00
_cell_angle_beta 134.90
_cell_angle_gamma 90.00
loop_
_space_group_symop_operation_xyz
'x,y,z'
'x,-y,z'
'x+1/2,y+1/2,z'
'x+1/2,-y+1/2,z'
loop_
_atom_site_label
_atom_site_type_symbol
_atom_site_fract_x
_atom_site_fract_y
_atom_site_fract_z
K1 K 0.000 0.000 0.000
K2 K 0.000 0.000 0.443
K3 K 0.057 0.500 0.000
K4 K 0.058 0.500 0.558
K5 K 0.279 0.279 0.000
Ag1 Ag 0.279 0.000 0.001
Hg1 Hg 0.279 0.249 0.500
O1 O 0.279 0.500 0.000
```

***

No. 4
La6AgHg: theoretical powder diffraction line list (Cu Kα, 1.54184 Å), based on the GGA-PBE geometry in Alexandria.
Kinematic intensities with the Lorentz-polarization factor, no thermal factor.

Most intense lines, 10° ≤ 2θ ≤ 80°, by angle:
30.77°, I 100
33.14°, I 44
38.28°, I 6
40.33°, I 10
47.57°, I 16
53.16°, I 17
57.73°, I 33
64.09°, I 10
77.96°, I 7
79.24°, I 7

Structure:
```
data_La6AgHg
_chemical_formula_sum 'La12 Ag2 Hg2'
_space_group_name_H-M_alt 'I 4/m m m'
_space_group_IT_number 139
_space_group_name_Hall '-I 4 2'
_cell_length_a 5.407
_cell_length_b 5.407
_cell_length_c 17.889
_cell_angle_alpha 90.00
_cell_angle_beta 90.00
_cell_angle_gamma 90.00
loop_
_atom_site_label
_atom_site_type_symbol
_atom_site_fract_x
_atom_site_fract_y
_atom_site_fract_z
La1 La 0.000 0.000 0.250
La2 La 0.000 0.500 0.109
Ag1 Ag 0.000 0.000 0.000
Hg1 Hg 0.000 0.000 0.500
```

***

No. 5
La2AgHg8: theoretical powder diffraction line list (Cu Kα, 1.54184 Å), based on the GGA-PBE geometry in Alexandria.
Kinematic intensities with the Lorentz-polarization factor, no thermal factor.

Most intense lines, 10° ≤ 2θ ≤ 80°, by angle:
27.11°, I 29
31.50°, I 71
33.74°, I 60
34.97°, I 100
35.08°, I 95
35.67°, I 75
50.37°, I 28
52.84°, I 19
63.62°, I 22
63.69°, I 22

Structure:
```
data_La2AgHg8
_chemical_formula_sum 'La4 Ag2 Hg16'
_space_group_name_H-M_alt 'C 1 2/m 1'
_space_group_IT_number 12
_cell_length_a 17.207
_cell_length_b 5.034
_cell_length_c 7.251
_cell_angle_alpha 90.00
_cell_angle_beta 114.68
_cell_angle_gamma 90.00
loop_
_space_group_symop_operation_xyz
'x,y,z'
'-x,-y,-z'
'-x,y,-z'
'x,-y,z'
'x+1/2,y+1/2,z'
'-x+1/2,-y+1/2,-z'
'-x+1/2,y+1/2,-z'
'x+1/2,-y+1/2,z'
loop_
_atom_site_label
_atom_site_type_symbol
_atom_site_fract_x
_atom_site_fract_y
_atom_site_fract_z
La1 La 0.210 0.000 0.209
Ag1 Ag 0.000 0.500 0.500
Hg1 Hg 0.001 0.000 0.214
Hg2 Hg 0.125 0.500 0.911
Hg3 Hg 0.127 0.500 0.343
Hg4 Hg 0.154 0.000 0.655
```

***

No. 6
LaAg4Hg4: theoretical powder diffraction line list (Cu Kα, 1.54184 Å), based on the GGA-PBE geometry in Alexandria.
Kinematic intensities with the Lorentz-polarization factor, no thermal factor.

Most intense lines, 10° ≤ 2θ ≤ 80°, by angle:
27.89°, I 38
31.40°, I 57
34.08°, I 55
34.39°, I 74
39.95°, I 100
47.01°, I 37
64.96°, I 22
65.50°, I 30
69.12°, I 21
75.98°, I 15

Structure:
```
data_LaAg4Hg4
_chemical_formula_sum 'La2 Ag8 Hg8'
_space_group_name_H-M_alt 'P 42/n'
_space_group_IT_number 86
_cell_length_a 9.008
_cell_length_b 9.008
_cell_length_c 5.262
_cell_angle_alpha 90.00
_cell_angle_beta 90.00
_cell_angle_gamma 90.00
loop_
_space_group_symop_operation_xyz
'x,y,z'
'-x,-y,-z'
'-y,x+1/2,z+1/2'
'y,-x+1/2,-z+1/2'
'-x+1/2,-y+1/2,z'
'x+1/2,y+1/2,-z'
'y+1/2,-x,z+1/2'
'-y+1/2,x,-z+1/2'
loop_
_atom_site_label
_atom_site_type_symbol
_atom_site_fract_x
_atom_site_fract_y
_atom_site_fract_z
La1 La 0.250 0.250 0.250
Ag1 Ag 0.045 0.146 0.749
Hg1 Hg 0.099 0.828 0.751
```

***

No. 7
LaAg2Hg2: theoretical powder diffraction line list (Cu Kα, 1.54184 Å), based on the GGA-PBE geometry in Alexandria.
Kinematic intensities with the Lorentz-polarization factor, no thermal factor.

Most intense lines, 10° ≤ 2θ ≤ 80°, by angle:
25.92°, I 26
33.25°, I 66
33.92°, I 47
34.17°, I 55
34.57°, I 57
34.96°, I 61
35.25°, I 100
41.29°, I 21
42.39°, I 27
44.53°, I 17

Structure:
```
data_LaAg2Hg2
_chemical_formula_sum 'La2 Ag4 Hg4'
_space_group_name_H-M_alt 'P -1'
_space_group_IT_number 2
_cell_length_a 5.349
_cell_length_b 5.406
_cell_length_c 8.715
_cell_angle_alpha 76.66
_cell_angle_beta 78.54
_cell_angle_gamma 79.51
loop_
_space_group_symop_operation_xyz
'x,y,z'
'-x,-y,-z'
loop_
_atom_site_label
_atom_site_type_symbol
_atom_site_fract_x
_atom_site_fract_y
_atom_site_fract_z
La1 La 0.241 0.228 0.229
Ag1 Ag 0.194 0.797 0.995
Ag2 Ag 0.250 0.633 0.475
Hg1 Hg 0.236 0.082 0.620
Hg2 Hg 0.352 0.355 0.840
```

***

No. 8
La3AgHg5: theoretical powder diffraction line list (Cu Kα, 1.54184 Å), based on the GGA-PBE geometry in Alexandria.
Kinematic intensities with the Lorentz-polarization factor, no thermal factor.

Most intense lines, 10° ≤ 2θ ≤ 80°, by angle:
32.41°, I 10
33.40°, I 100
47.95°, I 17
51.40°, I 6
56.09°, I 5
59.66°, I 21
62.63°, I 4
66.14°, I 6
66.85°, I 14
79.90°, I 6

Structure:
```
data_La3AgHg5
_chemical_formula_sum 'La6 Ag2 Hg10'
_space_group_name_H-M_alt 'P 63/m c m'
_space_group_IT_number 193
_space_group_name_Hall '-P 6c 2'
_cell_length_a 9.3038
_cell_length_b 9.3038
_cell_length_c 6.5590
_cell_angle_alpha 90.00
_cell_angle_beta 90.00
_cell_angle_gamma 120.00
loop_
_atom_site_label
_atom_site_type_symbol
_atom_site_fract_x
_atom_site_fract_y
_atom_site_fract_z
La1 La 0.0000 0.3605 0.2500
Ag1 Ag 0.0000 0.0000 0.0000
Hg1 Hg 0.0000 0.2973 0.7500
Hg2 Hg 0.3333 0.6667 0.0000
```

***

No. 9
La4AgHg3: theoretical powder diffraction line list (Cu Kα, 1.54184 Å), based on the GGA-PBE geometry in Alexandria.
Kinematic intensities with the Lorentz-polarization factor, no thermal factor.

Most intense lines, 10° ≤ 2θ ≤ 80°, by angle:
32.53°, I 100
32.64°, I 50
46.50°, I 9
46.72°, I 9
46.94°, I 9
57.96°, I 19
58.11°, I 19
58.25°, I 19
77.30°, I 8
77.65°, I 8

Structure:
```
data_La4AgHg3
_chemical_formula_sum 'La16 Ag4 Hg12'
_space_group_name_H-M_alt 'F m m m'
_space_group_IT_number 69
_space_group_name_Hall '-F 2 2'
_cell_length_a 7.777
_cell_length_b 7.812
_cell_length_c 15.484
_cell_angle_alpha 90.00
_cell_angle_beta 90.00
_cell_angle_gamma 90.00
loop_
_atom_site_label
_atom_site_type_symbol
_atom_site_fract_x
_atom_site_fract_y
_atom_site_fract_z
La1 La 0.250 0.250 0.123
Ag1 Ag 0.000 0.000 0.000
Hg1 Hg 0.000 0.000 0.251
Hg2 Hg 0.000 0.000 0.500
```

***

No. 10
La2Ag3Hg2: theoretical powder diffraction line list (Cu Kα, 1.54184 Å), based on the GGA-PBE geometry in Alexandria.
Kinematic intensities with the Lorentz-polarization factor, no thermal factor.

Most intense lines, 10° ≤ 2θ ≤ 80°, by angle:
25.88°, I 32
31.09°, I 24
32.09°, I 24
32.98°, I 84
34.73°, I 100
35.63°, I 25
38.24°, I 39
39.84°, I 26
44.61°, I 36
60.20°, I 27

Structure:
```
data_La2Ag3Hg2
_chemical_formula_sum 'La4 Ag6 Hg4'
_space_group_name_H-M_alt 'C 1 2/m 1'
_space_group_IT_number 12
_cell_length_a 11.526
_cell_length_b 4.063
_cell_length_c 7.572
_cell_angle_alpha 90.00
_cell_angle_beta 93.19
_cell_angle_gamma 90.00
loop_
_space_group_symop_operation_xyz
'x,y,z'
'-x,-y,-z'
'-x,y,-z'
'x,-y,z'
'x+1/2,y+1/2,z'
'-x+1/2,-y+1/2,-z'
'-x+1/2,y+1/2,-z'
'x+1/2,-y+1/2,z'
loop_
_atom_site_label
_atom_site_type_symbol
_atom_site_fract_x
_atom_site_fract_y
_atom_site_fract_z
La1 La 0.122 0.000 0.304
Ag1 Ag 0.000 0.500 0.000
Ag2 Ag 0.186 0.000 0.894
Hg1 Hg 0.101 0.500 0.645
```

***

No. 11
La3Ag3Hg2: theoretical powder diffraction line list (Cu Kα, 1.54184 Å), based on the GGA-PBE geometry in Alexandria.
Kinematic intensities with the Lorentz-polarization factor, no thermal factor.

Most intense lines, 10° ≤ 2θ ≤ 80°, by angle:
15.61°, I 13
30.44°, I 95
32.05°, I 23
34.64°, I 100
36.83°, I 46
37.97°, I 37
51.45°, I 17
62.42°, I 14
63.36°, I 17
64.93°, I 14

Structure:
```
data_La3Ag3Hg2
_chemical_formula_sum 'La12 Ag12 Hg8'
_space_group_name_H-M_alt 'C m c m'
_space_group_IT_number 63
_space_group_name_Hall '-C 2c 2'
_cell_length_a 4.880
_cell_length_b 11.357
_cell_length_c 15.534
_cell_angle_alpha 90.00
_cell_angle_beta 90.00
_cell_angle_gamma 90.00
loop_
_atom_site_label
_atom_site_type_symbol
_atom_site_fract_x
_atom_site_fract_y
_atom_site_fract_z
La1 La 0.000 0.088 0.101
La2 La 0.000 0.353 0.250
Ag1 Ag 0.000 0.368 0.750
Ag2 Ag 0.000 0.393 0.043
Hg1 Hg 0.000 0.207 0.605
```

***

No. 12
La2AgHgO5: theoretical powder diffraction line list (Cu Kα, 1.54184 Å), based on the GGA-PBE geometry in Alexandria.
Kinematic intensities with the Lorentz-polarization factor, no thermal factor.

Most intense lines, 10° ≤ 2θ ≤ 80°, by angle:
23.37°, I 12
29.46°, I 100
30.58°, I 30
32.10°, I 26
35.81°, I 26
40.20°, I 13
42.03°, I 20
47.79°, I 23
53.66°, I 19
67.14°, I 11

Structure:
```
data_La2AgHgO5
_chemical_formula_sum 'La4 Ag2 Hg2 O10'
_space_group_name_H-M_alt 'P 4/m b m'
_space_group_IT_number 127
_space_group_name_Hall '-P 4 2ab'
_cell_length_a 7.093
_cell_length_b 7.093
_cell_length_c 5.846
_cell_angle_alpha 90.00
_cell_angle_beta 90.00
_cell_angle_gamma 90.00
loop_
_atom_site_label
_atom_site_type_symbol
_atom_site_fract_x
_atom_site_fract_y
_atom_site_fract_z
La1 La 0.179 0.321 0.000
Ag1 Ag 0.000 0.500 0.500
Hg1 Hg 0.000 0.000 0.500
O1 O 0.000 0.000 0.000
O2 O 0.131 0.631 0.239
```

***

No. 13
LaPr2AgHg4: theoretical powder diffraction line list (Cu Kα, 1.54184 Å), based on the GGA-PBE geometry in Alexandria.
Kinematic intensities with the Lorentz-polarization factor, no thermal factor.

Most intense lines, 10° ≤ 2θ ≤ 80°, by angle:
23.47°, I 10
32.55°, I 100
34.28°, I 93
48.00°, I 34
56.95°, I 17
60.31°, I 35
61.40°, I 18
68.19°, I 10
72.24°, I 11
78.59°, I 14

Structure:
```
data_LaPr2AgHg4
_chemical_formula_sum 'La3 Pr6 Ag3 Hg12'
_space_group_name_H-M_alt 'R -3 m'
_space_group_IT_number 166
_space_group_name_Hall '-R 3 2"'
_cell_length_a 5.2311
_cell_length_b 5.2311
_cell_length_c 27.6937
_cell_angle_alpha 90.00
_cell_angle_beta 90.00
_cell_angle_gamma 120.00
loop_
_atom_site_label
_atom_site_type_symbol
_atom_site_fract_x
_atom_site_fract_y
_atom_site_fract_z
La1 La 0.0000 0.0000 0.0000
Pr1 Pr 0.0000 0.0000 0.2395
Ag1 Ag 0.0000 0.0000 0.5000
Hg1 Hg 0.0000 0.0000 0.1258
Hg2 Hg 0.0000 0.0000 0.3769
```